NaTiInP2SO12: computed X-ray diffraction stick pattern (copper Kα), based on DFT lattice parameters and positions (GGA-PBE).
Neutral-atom scattering factors, no anomalous dispersion.

Most intense lines, 5° ≤ 2θ ≤ 70°, in order of rising 2θ:
2θ (°)	Rel. int.
14.1	44
19.5	57
20.3	100
23.4	42
23.5	90
28.4	37
31.1	41
31.3	45
31.4	48
35.5	33

Crystal structure
a b c (Å): 8.771 8.771 9.045
angles (deg): 118.54 118.54 59.76
Fractional coordinates of all 36 atoms:
Na1 0.237 0.763 0.500
Na2 0.763 0.237 0.000
Ti1 0.393 0.890 0.944
Ti2 0.890 0.393 0.444
In1 0.090 0.605 0.059
In2 0.605 0.090 0.559
P1 0.006 0.202 0.755
P2 0.202 0.006 0.255
P3 0.698 0.788 0.755
P4 0.788 0.698 0.255
S1 0.286 0.504 0.751
S2 0.504 0.286 0.251
O1 0.023 0.184 0.273
O2 0.036 0.362 0.923
O3 0.124 0.472 0.594
O4 0.175 0.838 0.239
O5 0.184 0.023 0.773
O6 0.246 0.971 0.089
O7 0.272 0.527 0.917
O8 0.296 0.676 0.765
O9 0.351 0.462 0.235
O10 0.362 0.036 0.423
O11 0.462 0.351 0.735
O12 0.472 0.124 0.094
O13 0.527 0.272 0.417
O14 0.527 0.796 0.774
O15 0.615 0.747 0.091
O16 0.655 0.973 0.739
O17 0.676 0.296 0.265
O18 0.747 0.615 0.591
O19 0.773 0.864 0.422
O20 0.796 0.527 0.274
O21 0.838 0.175 0.739
O22 0.864 0.773 0.922
O23 0.971 0.246 0.589
O24 0.973 0.655 0.239